Sn2N2O: calculated powder diffraction line list (a wavelength of 1.5418 Å), based on DFT lattice parameters and positions (GGA-PBE).
Neutral-atom scattering factors, no anomalous dispersion.

Principal peaks in the range 10 to 90 degrees two-theta, in order of falling intensity:
2θ = 30.3°, 2.949 Å, I 100, hkl -3 1 1; 2θ = 35.1°, 2.554 Å, I 34, hkl 2 -2 2; 2θ = 50.6°, 1.804 Å, I 19, hkl 4 -4 0; 2θ = 50.5°, 1.807 Å, I 19, hkl 4 0 0; 2θ = 60.1°, 1.539 Å, I 18, hkl 5 -3 1; 2θ = 60.0°, 1.541 Å, I 13, hkl 3 -1 3; 2θ = 21.3°, 4.170 Å, I 11, hkl 0 1 -2; 2θ = 37.3°, 2.408 Å, I 5, hkl 3 1 -2

Cell and atoms:
Cell lengths 8.837, 8.837, 8.847 Å; angles 109.45, 109.41, 109.40 degrees
Positions (direct):
Sn1 0.000 0.000 0.000
Sn2 0.000 0.495 0.509
Sn3 0.035 0.214 0.749
Sn4 0.223 0.672 0.962
Sn5 0.255 0.964 0.727
Sn6 0.260 0.469 0.214
Sn7 0.287 0.241 0.459
Sn8 0.471 0.719 0.685
Sn9 0.486 0.925 0.423
Sn10 0.504 0.436 0.938
Sn11 0.528 0.213 0.246
Sn12 0.706 0.170 0.952
Sn13 0.742 0.455 0.702
Sn14 0.747 0.953 0.205
Sn15 0.779 0.743 0.465
Sn16 0.973 0.723 0.188
N1 0.013 0.962 0.751
N2 0.025 0.002 0.260
N3 0.200 0.690 0.208
N4 0.252 0.728 0.754
N5 0.281 0.233 0.204
N6 0.292 0.460 0.980
N7 0.477 0.969 0.671
N8 0.485 0.926 0.171
N9 0.490 0.207 0.991
N10 0.512 0.500 0.718
N11 0.513 0.187 0.481
N12 0.522 0.697 0.450
N13 0.717 0.688 0.183
N14 0.719 0.927 0.943
N15 0.749 0.500 0.474
N16 0.973 0.414 0.712
O1 0.033 0.735 0.448
O2 0.195 0.454 0.434
O3 0.236 0.181 0.661
O4 0.763 0.425 0.945
O5 0.795 0.012 0.484
O6 0.809 0.239 0.257
O7 0.971 0.732 0.933
O8 0.972 0.245 0.981